(1)
Calculated powder diffraction line list of MgNb3 for λ = 1.5418 Å (Cu Kα), from a DFT-relaxed cell (PBE, the Materials Project).
Intensities are scaled so that the largest is 100.

Peak list (8 most intense, 10° ≤ 2θ ≤ 90°, low angle first)
- 2θ = 21.14°, d 4.202, rel. 16
- 2θ = 30.08°, d 2.971, rel. 13
- 2θ = 37.06°, d 2.426, rel. 100
- 2θ = 43.05°, d 2.101, rel. 49
- 2θ = 48.44°, d 1.879, rel. 7
- 2θ = 62.52°, d 1.486, rel. 31
- 2θ = 74.96°, d 1.267, rel. 36
- 2θ = 78.92°, d 1.213, rel. 10

Crystal structure
```
MgNb3
1.0
4.2019 0.0000 0.0000
0.0000 4.2019 0.0000
0.0000 0.0000 4.2019
Mg Nb
1 3
Cartesian
0.0000 0.0000 0.0000 Mg
0.0000 2.1010 2.1010 Nb
2.1010 0.0000 2.1010 Nb
2.1010 2.1010 0.0000 Nb
```

(2)
Calculated powder diffraction line list of RbBF4 for λ = 1.5418 Å (Cu Kα), from a DFT-relaxed cell (PBE, the Materials Project).
Intensities are scaled so that the largest is 100.

Peak list (8 most intense, 10° ≤ 2θ ≤ 90°, low angle first)
- 2θ = 21.82°, d 4.073, rel. 28
- 2θ = 24.76°, d 3.596, rel. 59
- 2θ = 25.87°, d 3.443, rel. 36
- 2θ = 27.56°, d 3.236, rel. 65
- 2θ = 30.28°, d 2.952, rel. 32
- 2θ = 38.92°, d 2.314, rel. 33
- 2θ = 40.94°, d 2.205, rel. 100
- 2θ = 41.23°, d 2.190, rel. 32

Crystal structure
```
RbBF4
1.0
9.2329 0.0000 0.0000
0.0000 5.7345 0.0000
0.0000 0.0000 7.4223
Rb B F
4 4 16
Cartesian
1.7176 1.4336 1.1978 Rb
2.8988 4.3008 4.9089 Rb
6.3340 1.4336 2.5134 Rb
7.5153 4.3008 6.2245 Rb
0.5642 1.4336 5.1383 B
4.0523 4.3008 1.4271 B
5.1806 1.4336 5.9952 B
8.6687 4.3008 2.2840 B
0.7033 0.2761 5.9630 F
0.7033 2.5911 5.9630 F
0.7086 4.3008 2.8865 F
1.5903 1.4336 4.1622 F
3.0261 4.3008 0.4511 F
3.9078 1.4336 6.5977 F
3.9131 3.1433 2.2519 F
3.9131 5.4584 2.2519 F
5.3197 0.2761 5.1704 F
5.3197 2.5911 5.1704 F
5.3250 4.3008 0.8246 F
6.2068 1.4336 6.9712 F
7.6425 4.3008 3.2601 F
8.5243 1.4336 4.5358 F
8.5295 3.1433 1.4593 F
8.5295 5.4584 1.4593 F
```

(3)
Calculated powder diffraction line list of SrAs2O6 for λ = 1.5418 Å (Cu Kα), from a DFT-relaxed cell (PBE, the Materials Project).
Intensities are scaled so that the largest is 100.

Peak list (8 most intense, 10° ≤ 2θ ≤ 90°, low angle first)
- 2θ = 16.16°, d 5.485, rel. 21
- 2θ = 26.39°, d 3.377, rel. 100
- 2θ = 36.30°, d 2.475, rel. 28
- 2θ = 45.44°, d 1.996, rel. 18
- 2θ = 49.62°, d 1.837, rel. 44
- 2θ = 54.57°, d 1.682, rel. 10
- 2θ = 59.49°, d 1.554, rel. 19
- 2θ = 65.31°, d 1.429, rel. 11

Crystal structure
```
SrAs2O6
1.0
4.9495 0.0000 0.0000
-2.4747 4.2864 0.0000
0.0000 0.0000 10.9695
Sr As O
2 4 12
Cartesian
0.0000 0.0000 2.7424 Sr
0.0000 0.0000 8.2271 Sr
0.0000 2.8576 0.0000 As
0.0000 2.8576 5.4848 As
2.4747 1.4288 0.0000 As
2.4747 1.4288 5.4848 As
-0.9503 1.6459 1.0612 O
-0.9503 1.6459 4.4235 O
-1.5245 2.6404 6.5460 O
-1.5245 2.6404 9.9083 O
1.9006 0.0000 1.0612 O
1.9006 0.0000 4.4235 O
0.9503 1.6459 6.5460 O
0.9503 1.6459 9.9083 O
3.0489 0.0000 6.5460 O
3.0489 0.0000 9.9083 O
1.5245 2.6404 1.0612 O
1.5245 2.6404 4.4235 O
```

(4)
Calculated powder diffraction line list of Sm2O3 for λ = 1.5418 Å (Cu Kα), from a DFT-relaxed cell (PBE, the Materials Project).
Intensities are scaled so that the largest is 100.

Peak list (8 most intense, 10° ≤ 2θ ≤ 90°, low angle first)
- 2θ = 27.74°, d 3.215, rel. 88
- 2θ = 28.82°, d 3.098, rel. 91
- 2θ = 29.46°, d 3.032, rel. 96
- 2θ = 30.56°, d 2.925, rel. 60
- 2θ = 31.08°, d 2.878, rel. 91
- 2θ = 31.90°, d 2.805, rel. 100
- 2θ = 41.57°, d 2.173, rel. 51
- 2θ = 46.61°, d 1.948, rel. 61

Crystal structure
```
Sm2O3
1.0
7.1975 -1.8151 0.0000
7.1975 1.8151 0.0000
-1.5876 0.0000 8.7748
Sm O
6 9
Cartesian
-0.0267 0.0000 2.7447 Sm
3.8705 0.0000 3.1789 Sm
5.2411 0.0000 0.0983 Sm
7.5661 0.0000 8.6766 Sm
8.9368 0.0000 5.5960 Sm
12.8339 0.0000 6.0301 Sm
0.6075 0.0000 6.8755 O
1.7724 0.0000 4.1378 O
2.7433 0.0000 1.0918 O
5.4625 0.0000 7.4030 O
6.4036 0.0000 4.3874 O
7.3448 0.0000 1.3718 O
10.0640 0.0000 7.6830 O
11.0349 0.0000 4.6370 O
12.1998 0.0000 1.8993 O
```